The following is a simulated XRD peak list of Ba2YBr7. It was derived from a DFT-relaxed cell (GGA-PBE, Alexandria), using λ = 1.5418 Å (Cu Kα).
Kinematic intensities with the Lorentz-polarization factor, no thermal factor.

Crystal structure
Cell lengths 7.734, 14.475, 14.115 Å; angles 90.00, 101.39, 90.00 degrees
Space group P2_1 (No. 4)
Unique sites:
1 Ba 0.207 0.000 0.239 (multiplicity 2)
2 Ba 0.208 0.169 0.738 (multiplicity 2)
3 Ba 0.266 0.758 0.857 (multiplicity 2)
4 Ba 0.267 0.412 0.357 (multiplicity 2)
5 Y 0.363 0.692 0.459 (multiplicity 2)
6 Y 0.365 0.478 0.959 (multiplicity 2)
7 Br 0.064 0.580 0.458 (multiplicity 2)
8 Br 0.064 0.589 0.958 (multiplicity 2)
9 Br 0.101 0.962 0.790 (multiplicity 2)
10 Br 0.102 0.208 0.290 (multiplicity 2)
11 Br 0.116 0.825 0.373 (multiplicity 2)
12 Br 0.118 0.344 0.872 (multiplicity 2)
13 Br 0.348 0.871 0.072 (multiplicity 2)
14 Br 0.350 0.300 0.572 (multiplicity 2)
15 Br 0.370 0.620 0.272 (multiplicity 2)
16 Br 0.370 0.786 0.633 (multiplicity 2)
17 Br 0.371 0.384 0.133 (multiplicity 2)
18 Br 0.372 0.550 0.772 (multiplicity 2)
19 Br 0.432 0.038 0.473 (multiplicity 2)
20 Br 0.432 0.132 0.973 (multiplicity 2)

Peak list (12 most intense, 2θ = 15–90°, by angle)
- 2θ = 15.54°, I = 66, (1 0 -2)
- 2θ = 18.92°, I = 35, (1 2 1)
- 2θ = 23.43°, I = 32, (1 3 1)
- 2θ = 27.42°, I = 59, (2 2 -2)
- 2θ = 28.60°, I = 100, (0 2 4)
- 2θ = 28.98°, I = 39, (2 0 2)
- 2θ = 29.66°, I = 91, (2 3 -1)
- 2θ = 30.78°, I = 39, (2 3 -2)
- 2θ = 31.58°, I = 41, (0 5 1)
- 2θ = 32.14°, I = 43, (1 3 -4)
- 2θ = 35.77°, I = 31, (2 4 1)
- 2θ = 36.51°, I = 30, (1 5 2)